1.
Simulated powder diffraction line list
Compound: Sr3UFe2O9
Radiation: Cu Kα
Structure: a crystal structure in Alexandria, relaxed with PBE+U
Lines closer than 0.1° are merged.

Crystal structure
```
data_Sr3UFe2O9
_space_group_name_H-M_alt 'I m m m'
_space_group_IT_number 71
_space_group_name_Hall '-I 2 2'
_cell_length_a 5.7505
_cell_length_b 8.0563
_cell_length_c 17.5039
_cell_angle_alpha 90.00
_cell_angle_beta 90.00
_cell_angle_gamma 90.00
loop_
_atom_site_label
_atom_site_type_symbol
_atom_site_fract_x
_atom_site_fract_y
_atom_site_fract_z
Sr1 Sr 0.0000 0.2202 0.0000
Sr2 Sr 0.0000 0.2693 0.3517
U1 U 0.0000 0.5000 0.1687
Fe1 Fe 0.0000 0.0000 0.1624
Fe2 Fe 0.0000 0.0000 0.5000
Fe3 Fe 0.0000 0.5000 0.5000
O1 O 0.0000 0.2381 0.1622
O2 O 0.0000 0.2440 0.5000
O3 O 0.2464 0.0000 0.4144
O4 O 0.2461 0.5000 0.2530
O5 O 0.2485 0.5000 0.4185
```

Principal peaks in the range 2θ = 10–90°, sorted by position:
hkl 0 1 3, d 4.726, I 11; hkl 1 1 0, d 4.680, I 12; hkl 1 1 2, d 4.127, I 9; hkl 1 0 3, d 4.096, I 7; hkl 0 0 6, d 2.917, I 19; hkl 2 0 0, d 2.873, I 100; hkl 2 0 6, d 2.048, I 26; hkl 0 4 0, d 2.014, I 12; hkl 1 2 9, d 1.675, I 12; hkl 3 2 3, d 1.659, I 22; hkl 2 4 0, d 1.650, I 7; hkl 4 0 0, d 1.436, I 18

***

2.
Simulated powder diffraction line list
Compound: SrV2Fe2O7
Radiation: Cu Kα
Structure: a crystal structure in Alexandria, relaxed with PBE+U
Lines closer than 0.1° are merged.

Crystal structure
```
data_SrV2Fe2O7
_space_group_name_H-M_alt 'I m m 2'
_space_group_IT_number 44
_cell_length_a 4.1551
_cell_length_b 17.7524
_cell_length_c 3.8493
_cell_angle_alpha 90.00
_cell_angle_beta 90.00
_cell_angle_gamma 90.00
loop_
_space_group_symop_operation_xyz
'x,y,z'
'-x,-y,z'
'-x,y,z'
'x,-y,z'
'x+1/2,y+1/2,z+1/2'
'-x+1/2,-y+1/2,z+1/2'
'-x+1/2,y+1/2,z+1/2'
'x+1/2,-y+1/2,z+1/2'
loop_
_atom_site_label
_atom_site_type_symbol
_atom_site_fract_x
_atom_site_fract_y
_atom_site_fract_z
Sr1 Sr 0.0000 0.0000 0.0000
V1 V 0.0000 0.3918 0.0114
Fe1 Fe 0.0000 0.2268 0.4847
O1 O 0.0000 0.1093 0.4713
O2 O 0.0000 0.2775 0.9647
O3 O 0.0000 0.3909 0.4697
O4 O 0.0000 0.5000 0.9516
```

Principal peaks in the range 2θ = 10–90°, sorted by position:
hkl 1 3 0, d 3.401, I 17; hkl 0 3 1, d 3.227, I 74; hkl 1 5 0, d 2.699, I 66; hkl 1 2 1, d 2.691, I 100; hkl 0 8 0, d 2.219, I 27; hkl 0 7 1, d 2.118, I 25; hkl 2 0 0, d 2.078, I 53; hkl 1 6 1, d 2.043, I 23; hkl 0 0 2, d 1.925, I 39; hkl 2 3 1, d 1.746, I 29; hkl 1 5 2, d 1.567, I 25; hkl 2 0 2, d 1.412, I 24

***

3.
Simulated powder diffraction line list
Compound: Sr2VFeO6
Radiation: Cu Kα
Structure: a crystal structure in Alexandria, relaxed with PBE+U
Lines closer than 0.1° are merged.

Crystal structure
```
data_Sr2VFeO6
_space_group_name_H-M_alt 'P 4/m m m'
_space_group_IT_number 123
_space_group_name_Hall '-P 4 2'
_cell_length_a 3.9068
_cell_length_b 3.9068
_cell_length_c 7.8996
_cell_angle_alpha 90.00
_cell_angle_beta 90.00
_cell_angle_gamma 90.00
loop_
_atom_site_label
_atom_site_type_symbol
_atom_site_fract_x
_atom_site_fract_y
_atom_site_fract_z
Sr1 Sr 0.0000 0.0000 0.2400
V1 V 0.5000 0.5000 0.5000
Fe1 Fe 0.5000 0.5000 0.0000
O1 O 0.0000 0.5000 0.0000
O2 O 0.0000 0.5000 0.5000
O3 O 0.5000 0.5000 0.2651
```

Principal peaks in the range 2θ = 10–90°, sorted by position:
hkl 1 0 2, d 2.778, I 100; hkl 1 1 0, d 2.763, I 50; hkl 1 1 2, d 2.264, I 23; hkl 0 0 4, d 1.975, I 20; hkl 2 0 0, d 1.953, I 39; hkl 1 1 4, d 1.607, I 18; hkl 2 1 2, d 1.598, I 37; hkl 2 0 4, d 1.389, I 22; hkl 2 2 0, d 1.381, I 11; hkl 1 0 6, d 1.248, I 8; hkl 3 1 0, d 1.236, I 16; hkl 2 2 4, d 1.132, I 11

***

4.
Simulated powder diffraction line list
Compound: Sr4Y2Fe6O15
Radiation: Cu Kα
Structure: a crystal structure in Alexandria, relaxed with PBE+U
Lines closer than 0.1° are merged.

Crystal structure
```
data_Sr4Y2Fe6O15
_space_group_name_H-M_alt 'F m m m'
_space_group_IT_number 69
_space_group_name_Hall '-F 2 2'
_cell_length_a 7.6901
_cell_length_b 7.8854
_cell_length_c 23.9799
_cell_angle_alpha 90.00
_cell_angle_beta 90.00
_cell_angle_gamma 90.00
loop_
_atom_site_label
_atom_site_type_symbol
_atom_site_fract_x
_atom_site_fract_y
_atom_site_fract_z
Sr1 Sr 0.0000 0.2299 0.0783
Y1 Y 0.0000 0.2500 0.2500
Fe1 Fe 0.2434 0.0000 0.3316
Fe2 Fe 0.2447 0.0000 0.5000
O1 O 0.0000 0.0000 0.0000
O2 O 0.0000 0.0000 0.1823
O3 O 0.0000 0.0000 0.3008
O4 O 0.2184 0.0000 0.4090
O5 O 0.2500 0.2500 0.0000
O6 O 0.2500 0.2500 0.1906
```

Principal peaks in the range 2θ = 10–90°, sorted by position:
hkl 0 2 6, d 2.807, I 91; hkl 2 0 6, d 2.771, I 100; hkl 2 2 0, d 2.753, I 79; hkl 2 2 6, d 2.267, I 19; hkl 0 0 12, d 1.998, I 23; hkl 0 4 0, d 1.971, I 29; hkl 4 0 0, d 1.923, I 28; hkl 2 2 12, d 1.617, I 42; hkl 2 4 6, d 1.606, I 33; hkl 4 2 6, d 1.586, I 33; hkl 0 4 12, d 1.403, I 13; hkl 4 4 0, d 1.376, I 15

***

5.
Simulated powder diffraction line list
Compound: Sr2ZrFeO6
Radiation: Cu Kα
Structure: a crystal structure in Alexandria, relaxed with PBE+U
Lines closer than 0.1° are merged.

Crystal structure
```
data_Sr2ZrFeO6
_space_group_name_H-M_alt 'P 4/m m m'
_space_group_IT_number 123
_space_group_name_Hall '-P 4 2'
_cell_length_a 4.1061
_cell_length_b 4.1061
_cell_length_c 8.0067
_cell_angle_alpha 90.00
_cell_angle_beta 90.00
_cell_angle_gamma 90.00
loop_
_atom_site_label
_atom_site_type_symbol
_atom_site_fract_x
_atom_site_fract_y
_atom_site_fract_z
Sr1 Sr 0.0000 0.0000 0.2306
Zr1 Zr 0.5000 0.5000 0.5000
Fe1 Fe 0.5000 0.5000 0.0000
O1 O 0.0000 0.5000 0.0000
O2 O 0.0000 0.5000 0.5000
O3 O 0.5000 0.5000 0.2367
```

Principal peaks in the range 2θ = 10–90°, sorted by position:
hkl 1 1 0, d 2.903, I 53; hkl 1 0 2, d 2.866, I 100; hkl 1 1 2, d 2.350, I 9; hkl 2 0 0, d 2.053, I 40; hkl 0 0 4, d 2.002, I 16; hkl 2 1 2, d 1.669, I 40; hkl 1 1 4, d 1.648, I 17; hkl 2 2 0, d 1.452, I 12; hkl 2 0 4, d 1.433, I 20; hkl 3 1 0, d 1.298, I 9; hkl 2 2 4, d 1.175, I 10; hkl 3 2 2, d 1.095, I 11

***

6.
Simulated powder diffraction line list
Compound: TaFeO4
Radiation: Cu Kα
Structure: a crystal structure in Alexandria, relaxed with PBE+U
Lines closer than 0.1° are merged.

Crystal structure
```
data_TaFeO4
_space_group_name_H-M_alt 'C 1 c 1'
_space_group_IT_number 9
_cell_length_a 9.3062
_cell_length_b 9.3075
_cell_length_c 10.1649
_cell_angle_alpha 90.00
_cell_angle_beta 117.24
_cell_angle_gamma 90.00
loop_
_space_group_symop_operation_xyz
'x,y,z'
'x,-y,z+1/2'
'x+1/2,y+1/2,z'
'x+1/2,-y+1/2,z+1/2'
loop_
_atom_site_label
_atom_site_type_symbol
_atom_site_fract_x
_atom_site_fract_y
_atom_site_fract_z
Ta1 Ta 0.0000 0.1248 0.0000
Ta2 Ta 0.0148 0.3751 0.5295
Ta3 Ta 0.1732 0.1251 0.3460
Fe1 Fe 0.1748 0.3749 0.8498
Fe2 Fe 0.3374 0.3749 0.1746
Fe3 Fe 0.3442 0.1250 0.6883
O1 O 0.0234 0.2771 0.3505
O2 O 0.0238 0.2253 0.8472
O3 O 0.1604 0.4721 0.0137
O4 O 0.1617 0.0275 0.5185
O5 O 0.1899 0.2236 0.1822
O6 O 0.1933 0.2732 0.6833
O7 O 0.3234 0.4749 0.3471
O8 O 0.3274 0.0270 0.8506
O9 O 0.3540 0.2784 0.0135
O10 O 0.3570 0.2226 0.5187
O11 O 0.4898 0.0234 0.1832
O12 O 0.4929 0.4734 0.6823
```

Principal peaks in the range 2θ = 10–90°, sorted by position:
hkl 2 0 -2, d 4.137, I 26; hkl 2 2 -1, d 3.290, I 100; hkl 2 2 1, d 2.660, I 8; hkl 2 0 2, d 2.529, I 73; hkl 0 4 0, d 2.327, I 22; hkl 4 2 -3, d 2.028, I 9; hkl 4 2 1, d 1.712, I 61; hkl 4 4 -2, d 1.645, I 16; hkl 6 2 -3, d 1.472, I 15; hkl 6 0 0, d 1.379, I 18; hkl 2 2 5, d 1.370, I 12; hkl 6 4 0, d 1.186, I 12

***

7.
Simulated powder diffraction line list
Compound: TaFeO4
Radiation: Cu Kα
Structure: a crystal structure in Alexandria, relaxed with PBE+U
Lines closer than 0.1° are merged.

Crystal structure
```
data_TaFeO4
_space_group_name_H-M_alt 'C 1 2/m 1'
_space_group_IT_number 12
_cell_length_a 12.6955
_cell_length_b 3.8888
_cell_length_c 6.7233
_cell_angle_alpha 90.00
_cell_angle_beta 107.44
_cell_angle_gamma 90.00
loop_
_space_group_symop_operation_xyz
'x,y,z'
'-x,-y,-z'
'-x,y,-z'
'x,-y,z'
'x+1/2,y+1/2,z'
'-x+1/2,-y+1/2,-z'
'-x+1/2,y+1/2,-z'
'x+1/2,-y+1/2,z'
loop_
_atom_site_label
_atom_site_type_symbol
_atom_site_fract_x
_atom_site_fract_y
_atom_site_fract_z
Ta1 Ta 0.1041 0.0000 0.2239
Fe1 Fe 0.1971 0.0000 0.8075
O1 O 0.0542 0.0000 0.8677
O2 O 0.1336 0.5000 0.2019
O3 O 0.1371 0.0000 0.5089
O4 O 0.2453 0.5000 0.8533
```

Principal peaks in the range 2θ = 10–90°, sorted by position:
hkl 0 0 1, d 6.414, I 22; hkl 2 0 -1, d 5.260, I 64; hkl 2 0 1, d 3.863, I 40; hkl 1 1 0, d 3.703, I 100; hkl 0 0 2, d 3.207, I 52; hkl 4 0 0, d 3.028, I 22; hkl 3 1 -1, d 2.788, I 37; hkl 4 0 -2, d 2.630, I 21; hkl 1 1 -2, d 2.542, I 20; hkl 3 1 1, d 2.391, I 27; hkl 0 2 0, d 1.944, I 24; hkl 7 1 -1, d 1.643, I 22

***

8.
Simulated powder diffraction line list
Compound: TaFeO4
Radiation: Cu Kα
Structure: a crystal structure in Alexandria, relaxed with PBE+U
Lines closer than 0.1° are merged.

Crystal structure
```
data_TaFeO4
_space_group_name_H-M_alt 'I 41 m d'
_space_group_IT_number 109
_space_group_name_Hall 'I 4bw -2'
_cell_length_a 6.6969
_cell_length_b 6.6969
_cell_length_c 6.1556
_cell_angle_alpha 90.00
_cell_angle_beta 90.00
_cell_angle_gamma 90.00
loop_
_atom_site_label
_atom_site_type_symbol
_atom_site_fract_x
_atom_site_fract_y
_atom_site_fract_z
Ta1 Ta 0.0000 0.0000 0.0000
Fe1 Fe 0.0000 0.0000 0.5090
O1 O 0.0000 0.1968 0.2569
O2 O 0.0000 0.1976 0.7706
```

Principal peaks in the range 2θ = 10–90°, sorted by position:
hkl 1 0 1, d 4.532, I 49; hkl 2 0 0, d 3.348, I 100; hkl 2 1 1, d 2.693, I 26; hkl 1 1 2, d 2.581, I 77; hkl 2 2 0, d 2.368, I 22; hkl 3 1 2, d 1.745, I 64; hkl 4 0 0, d 1.674, I 16; hkl 4 2 0, d 1.497, I 15; hkl 3 3 2, d 1.405, I 19; hkl 2 0 4, d 1.398, I 14; hkl 5 1 2, d 1.208, I 13; hkl 4 0 4, d 1.133, I 9

***

9.
Simulated powder diffraction line list
Compound: TaFeO4
Radiation: Cu Kα
Structure: a crystal structure in Alexandria, relaxed with PBE+U
Lines closer than 0.1° are merged.

Crystal structure
```
data_TaFeO4
_space_group_name_H-M_alt 'P b c n'
_space_group_IT_number 60
_cell_length_a 4.5597
_cell_length_b 11.8473
_cell_length_c 4.9466
_cell_angle_alpha 90.00
_cell_angle_beta 90.00
_cell_angle_gamma 90.00
loop_
_space_group_symop_operation_xyz
'x,y,z'
'-x,-y,-z'
'-x+1/2,-y+1/2,z+1/2'
'x+1/2,y+1/2,-z+1/2'
'x+1/2,-y+1/2,-z'
'-x+1/2,y+1/2,z'
'-x,y,-z+1/2'
'x,-y,z+1/2'
loop_
_atom_site_label
_atom_site_type_symbol
_atom_site_fract_x
_atom_site_fract_y
_atom_site_fract_z
Ta1 Ta 0.0000 0.1720 0.2500
Fe1 Fe 0.0000 0.4327 0.2500
O1 O 0.2298 0.3073 0.0719
O2 O 0.2451 0.4381 0.5856
```

Principal peaks in the range 2θ = 10–90°, sorted by position:
hkl 0 2 0, d 5.924, I 11; hkl 0 2 1, d 3.797, I 25; hkl 1 1 1, d 3.226, I 100; hkl 1 3 0, d 2.985, I 45; hkl 0 4 1, d 2.541, I 29; hkl 0 0 2, d 2.473, I 15; hkl 2 0 0, d 2.280, I 11; hkl 1 3 2, d 1.905, I 26; hkl 2 4 1, d 1.697, I 29; hkl 2 0 2, d 1.676, I 16; hkl 1 1 3, d 1.537, I 11; hkl 1 7 1, d 1.511, I 11

***

10.
Simulated powder diffraction line list
Compound: TaFeO4
Radiation: Cu Kα
Structure: a crystal structure in Alexandria, relaxed with PBE+U
Lines closer than 0.1° are merged.

Crystal structure
```
data_TaFeO4
_space_group_name_H-M_alt 'C m m 2'
_space_group_IT_number 35
_cell_length_a 6.6603
_cell_length_b 6.7269
_cell_length_c 9.2402
_cell_angle_alpha 90.00
_cell_angle_beta 90.00
_cell_angle_gamma 90.00
loop_
_space_group_symop_operation_xyz
'x,y,z'
'-x,-y,z'
'-x,y,z'
'x,-y,z'
'x+1/2,y+1/2,z'
'-x+1/2,-y+1/2,z'
'-x+1/2,y+1/2,z'
'x+1/2,-y+1/2,z'
loop_
_atom_site_label
_atom_site_type_symbol
_atom_site_fract_x
_atom_site_fract_y
_atom_site_fract_z
Ta1 Ta 0.0000 0.0000 0.0000
Ta2 Ta 0.0000 0.0000 0.3406
Ta3 Ta 0.0000 0.5000 0.8188
Fe1 Fe 0.0000 0.0000 0.6629
Fe2 Fe 0.0000 0.5000 0.1642
Fe3 Fe 0.0000 0.5000 0.4880
O1 O 0.0000 0.1930 0.1593
O2 O 0.0000 0.1971 0.4916
O3 O 0.0000 0.1988 0.8342
O4 O 0.1978 0.5000 0.6668
O5 O 0.1981 0.5000 0.9908
O6 O 0.2006 0.5000 0.3250
```

Principal peaks in the range 2θ = 10–90°, sorted by position:
hkl 0 0 2, d 4.620, I 11; hkl 1 1 1, d 4.212, I 36; hkl 0 2 0, d 3.363, I 67; hkl 2 0 0, d 3.330, I 65; hkl 1 1 2, d 3.306, I 12; hkl 1 1 3, d 2.582, I 100; hkl 2 2 0, d 2.366, I 30; hkl 1 3 3, d 1.749, I 42; hkl 3 1 3, d 1.740, I 41; hkl 0 4 0, d 1.682, I 11; hkl 4 2 0, d 1.492, I 11; hkl 3 3 3, d 1.404, I 25

***

11.
Simulated powder diffraction line list
Compound: Ta2FeO6
Radiation: Cu Kα
Structure: a crystal structure in Alexandria, relaxed with PBE+U
Lines closer than 0.1° are merged.

Crystal structure
```
data_Ta2FeO6
_space_group_name_H-M_alt 'P 42/m n m'
_space_group_IT_number 136
_space_group_name_Hall '-P 4n 2n'
_cell_length_a 4.8241
_cell_length_b 4.8241
_cell_length_c 9.2764
_cell_angle_alpha 90.00
_cell_angle_beta 90.00
_cell_angle_gamma 90.00
loop_
_atom_site_label
_atom_site_type_symbol
_atom_site_fract_x
_atom_site_fract_y
_atom_site_fract_z
Ta1 Ta 0.0000 0.0000 0.1694
Fe1 Fe 0.0000 0.0000 0.5000
O1 O 0.1874 0.1874 0.0000
O2 O 0.2069 0.2069 0.3195
```

Principal peaks in the range 2θ = 10–90°, sorted by position:
hkl 0 0 2, d 4.638, I 11; hkl 1 0 1, d 4.280, I 26; hkl 1 1 0, d 3.411, I 100; hkl 1 0 3, d 2.603, I 80; hkl 2 0 0, d 2.412, I 25; hkl 2 1 3, d 1.769, I 65; hkl 2 2 0, d 1.706, I 17; hkl 3 1 0, d 1.526, I 16; hkl 3 0 3, d 1.427, I 19; hkl 1 1 6, d 1.408, I 18; hkl 3 2 3, d 1.228, I 14; hkl 4 1 3, d 1.094, I 12

***

What is the formula in the ninth record?
TaFeO4

***

Copy entry 10 word for word.
Simulated powder diffraction line list
Compound: TaFeO4
Radiation: Cu Kα
Structure: a crystal structure in Alexandria, relaxed with PBE+U
Lines closer than 0.1° are merged.

Crystal structure
```
data_TaFeO4
_space_group_name_H-M_alt 'C m m 2'
_space_group_IT_number 35
_cell_length_a 6.6603
_cell_length_b 6.7269
_cell_length_c 9.2402
_cell_angle_alpha 90.00
_cell_angle_beta 90.00
_cell_angle_gamma 90.00
loop_
_space_group_symop_operation_xyz
'x,y,z'
'-x,-y,z'
'-x,y,z'
'x,-y,z'
'x+1/2,y+1/2,z'
'-x+1/2,-y+1/2,z'
'-x+1/2,y+1/2,z'
'x+1/2,-y+1/2,z'
loop_
_atom_site_label
_atom_site_type_symbol
_atom_site_fract_x
_atom_site_fract_y
_atom_site_fract_z
Ta1 Ta 0.0000 0.0000 0.0000
Ta2 Ta 0.0000 0.0000 0.3406
Ta3 Ta 0.0000 0.5000 0.8188
Fe1 Fe 0.0000 0.0000 0.6629
Fe2 Fe 0.0000 0.5000 0.1642
Fe3 Fe 0.0000 0.5000 0.4880
O1 O 0.0000 0.1930 0.1593
O2 O 0.0000 0.1971 0.4916
O3 O 0.0000 0.1988 0.8342
O4 O 0.1978 0.5000 0.6668
O5 O 0.1981 0.5000 0.9908
O6 O 0.2006 0.5000 0.3250
```

Principal peaks in the range 2θ = 10–90°, sorted by position:
hkl 0 0 2, d 4.620, I 11; hkl 1 1 1, d 4.212, I 36; hkl 0 2 0, d 3.363, I 67; hkl 2 0 0, d 3.330, I 65; hkl 1 1 2, d 3.306, I 12; hkl 1 1 3, d 2.582, I 100; hkl 2 2 0, d 2.366, I 30; hkl 1 3 3, d 1.749, I 42; hkl 3 1 3, d 1.740, I 41; hkl 0 4 0, d 1.682, I 11; hkl 4 2 0, d 1.492, I 11; hkl 3 3 3, d 1.404, I 25

***

Which formula does entry 5 have?
Sr2ZrFeO6